Diffraction record for LiTlCl. The XRD peak list is calculated, not measured: it uses the PBE geometry in Alexandria and Cu Kα (weighted mean of Kα1 and Kα2).

Main lines, in order of rising 2θ (5 to 70 degrees two-theta):
Position (°2θ)	I (rel.)
6.8	100
27.5	15
28.0	13
28.1	11
29.0	18
30.1	14
31.9	14
33.5	18

Cell and atoms:
```
data_LiTlCl
_space_group_name_H-M_alt 'P 1'
_space_group_IT_number 1
_space_group_name_Hall 'P 1'
_cell_length_a 3.713
_cell_length_b 3.715
_cell_length_c 13.095
_cell_angle_alpha 83.14
_cell_angle_beta 83.09
_cell_angle_gamma 60.50
loop_
_atom_site_label
_atom_site_fract_x
_atom_site_fract_y
_atom_site_fract_z
Li1 0.000 0.000 0.000
Li2 0.410 0.406 0.746
Tl1 0.457 0.456 0.301
Tl2 0.904 0.904 0.518
Cl1 0.057 0.053 0.809
Cl2 0.317 0.318 0.063
```

***

Diffraction record for Tb2Nd5Y12. The XRD peak list is calculated, not measured: it uses the PBE geometry in Alexandria and Cu Kα (weighted mean of Kα1 and Kα2).

Main lines, in order of rising 2θ (5 to 70 degrees two-theta):
Position (°2θ)	I (rel.)
29.8	64
30.1	42
30.5	100
31.7	36
32.2	51
32.5	93
32.8	51
32.9	87

Cell and atoms:
```
data_Tb2Nd5Y12
_space_group_name_H-M_alt 'P -1'
_space_group_IT_number 2
_space_group_name_Hall '-P 1'
_cell_length_a 6.837
_cell_length_b 7.042
_cell_length_c 14.056
_cell_angle_alpha 89.11
_cell_angle_beta 78.74
_cell_angle_gamma 74.76
loop_
_atom_site_label
_atom_site_fract_x
_atom_site_fract_y
_atom_site_fract_z
Tb1 0.237 0.062 0.015
Nd1 0.073 0.601 0.389
Nd2 0.234 0.566 0.008
Nd3 0.500 0.500 0.500
Y1 0.060 0.118 0.807
Y2 0.107 0.092 0.392
Y3 0.116 0.614 0.774
Y4 0.368 0.003 0.607
Y5 0.436 0.261 0.198
Y6 0.459 0.765 0.205
```